[1]
# LiPrHo2Cd4
Computed powder diffractogram, Cu Kα X-rays. Input: the GGA-PBE geometry in Alexandria.
Lines closer than 0.1° are merged.

Peak list (10 most intense, 15 to 90 degrees two-theta, low angle first)
2theta, I (rel.)
26.1, 13
33.9, 97
34.5, 100
49.1, 34
60.2, 14
61.4, 34
61.8, 20
72.7, 14
81.6, 12
82.7, 15

Atomic structure:
Lattice parameters (Å, degrees): 9.229 9.229 9.229 32.73 32.73 32.73
Positions (direct):
Li (0.000, 0.000, 0.000)
Pr (0.500, 0.500, 0.500)
Ho (0.254, 0.254, 0.254)
Ho (0.746, 0.746, 0.746)
Cd (0.115, 0.115, 0.115)
Cd (0.372, 0.372, 0.372)
Cd (0.628, 0.628, 0.628)
Cd (0.885, 0.885, 0.885)

[2]
# HoMgCd17
Computed powder diffractogram, Cu Kα X-rays. Input: the GGA-PBE geometry in Alexandria.
Lines closer than 0.1° are merged.

Peak list (10 most intense, 15 to 90 degrees two-theta, low angle first)
2theta, I (rel.)
30.9, 17
31.1, 31
34.5, 28
35.5, 24
35.7, 100
36.0, 46
39.1, 27
40.1, 69
62.6, 17
64.8, 21

Atomic structure:
Lattice parameters (Å, degrees): 7.755 7.755 7.755 80.04 80.04 80.04
Positions (direct):
Ho (0.000, 0.000, 0.000)
Mg (0.242, 0.242, 0.242)
Cd (0.024, 0.332, 0.628)
Cd (0.024, 0.628, 0.332)
Cd (0.154, 0.702, 0.702)
Cd (0.332, 0.024, 0.628)
Cd (0.332, 0.628, 0.024)
Cd (0.333, 0.333, 0.807)
Cd (0.333, 0.807, 0.333)
Cd (0.451, 0.982, 0.982)
Cd (0.572, 0.572, 0.572)
Cd (0.628, 0.024, 0.332)
Cd (0.628, 0.332, 0.024)
Cd (0.702, 0.154, 0.702)
Cd (0.702, 0.702, 0.154)
Cd (0.756, 0.756, 0.756)
Cd (0.807, 0.333, 0.333)
Cd (0.982, 0.451, 0.982)
Cd (0.982, 0.982, 0.451)

[3]
# Ho2Mg5Cd4
Computed powder diffractogram, Cu Kα X-rays. Input: the GGA-PBE geometry in Alexandria.
Lines closer than 0.1° are merged.

Peak list (10 most intense, 15 to 90 degrees two-theta, low angle first)
2theta, I (rel.)
21.4, 25
28.4, 34
29.5, 31
31.7, 18
32.3, 100
33.5, 17
36.7, 28
45.9, 26
54.1, 19
64.1, 17

Atomic structure:
Lattice parameters (Å, degrees): 10.043 8.838 6.412 80.67 60.28 39.05
Positions (direct):
Ho (0.172, 0.172, 0.828)
Ho (0.828, 0.828, 0.172)
Mg (0.000, 0.000, 0.500)
Mg (0.250, 0.250, 0.250)
Mg (0.500, 0.500, 0.000)
Mg (0.500, 0.500, 0.500)
Mg (0.750, 0.750, 0.750)
Cd (0.232, 0.491, 0.509)
Cd (0.491, 0.232, 0.768)
Cd (0.509, 0.768, 0.232)
Cd (0.768, 0.509, 0.491)

[4]
# HoMg3Cd4
Computed powder diffractogram, Cu Kα X-rays. Input: the GGA-PBE geometry in Alexandria.
Lines closer than 0.1° are merged.

Peak list (10 most intense, 15 to 90 degrees two-theta, low angle first)
2theta, I (rel.)
21.7, 13
25.9, 11
28.5, 10
35.2, 100
37.0, 44
47.8, 10
53.3, 15
62.0, 18
65.5, 31
74.4, 10

Atomic structure:
Lattice parameters (Å, degrees): 4.865 4.865 7.605 90.00 90.00 90.00
Positions (direct):
Ho (0.000, 0.000, 0.000)
Mg (0.000, 0.000, 0.500)
Mg (0.500, 0.500, 0.000)
Mg (0.500, 0.500, 0.500)
Cd (0.000, 0.500, 0.260)
Cd (0.000, 0.500, 0.740)
Cd (0.500, 0.000, 0.260)
Cd (0.500, 0.000, 0.740)

[5]
# HoMg3Cd9
Computed powder diffractogram, Cu Kα X-rays. Input: the GGA-PBE geometry in Alexandria.
Lines closer than 0.1° are merged.

Peak list (10 most intense, 15 to 90 degrees two-theta, low angle first)
2theta, I (rel.)
29.7, 56
31.1, 72
34.9, 24
35.0, 27
36.1, 100
36.3, 46
36.5, 51
39.6, 37
40.7, 24
56.9, 26

Atomic structure:
Lattice parameters (Å, degrees): 7.591 7.591 7.549 98.98 98.98 133.32
Positions (direct):
Ho (0.000, 0.000, 0.000)
Mg (0.000, 0.000, 0.500)
Mg (0.000, 0.500, 0.000)
Mg (0.500, 0.000, 0.000)
Cd (0.005, 0.658, 0.656)
Cd (0.278, 0.494, 0.787)
Cd (0.342, 0.995, 0.344)
Cd (0.494, 0.278, 0.787)
Cd (0.500, 0.500, 0.500)
Cd (0.506, 0.722, 0.213)
Cd (0.658, 0.005, 0.656)
Cd (0.722, 0.506, 0.213)
Cd (0.995, 0.342, 0.344)

[6]
# HoMgCd11
Computed powder diffractogram, Cu Kα X-rays. Input: the GGA-PBE geometry in Alexandria.
Lines closer than 0.1° are merged.

Peak list (10 most intense, 15 to 90 degrees two-theta, low angle first)
2theta, I (rel.)
29.9, 23
30.9, 49
35.0, 61
36.0, 100
36.3, 49
39.6, 50
40.8, 22
57.0, 20
64.5, 25
65.1, 22

Atomic structure:
Lattice parameters (Å, degrees): 7.612 7.612 7.611 98.85 98.85 133.70
Positions (direct):
Ho (0.000, 0.000, 0.000)
Mg (0.000, 0.000, 0.500)
Cd (0.000, 0.500, 0.000)
Cd (0.002, 0.655, 0.650)
Cd (0.280, 0.492, 0.786)
Cd (0.345, 0.998, 0.350)
Cd (0.492, 0.280, 0.786)
Cd (0.500, 0.000, 0.000)
Cd (0.500, 0.500, 0.500)
Cd (0.508, 0.720, 0.214)
Cd (0.655, 0.002, 0.650)
Cd (0.720, 0.508, 0.214)
Cd (0.998, 0.345, 0.350)